Computed powder XRD pattern of CaSiPt for Cu Kα (weighted mean of Kα1 and Kα2), from the GGA-PBE geometry in Alexandria.

Crystal structure
Cell lengths 4.260, 7.364, 7.317 Å; angles 90.00, 90.00, 90.00 degrees
Positions (direct):
Ca: 0.000 0.000 0.000
Ca: 0.000 0.500 0.106
Ca: 0.500 0.000 0.606
Ca: 0.500 0.500 0.500
Si: 0.000 0.320 0.718
Si: 0.000 0.680 0.718
Si: 0.500 0.180 0.218
Si: 0.500 0.820 0.218
Pt: 0.000 0.208 0.392
Pt: 0.000 0.792 0.392
Pt: 0.500 0.292 0.892
Pt: 0.500 0.708 0.892

Most intense lines, 2θ = 10–90°, by angle:
2θ = 24.17°, d 3.682, rel. 100; 2θ = 24.33°, d 3.659, rel. 35; 2θ = 34.46°, d 2.602, rel. 95; 2θ = 34.56°, d 2.595, rel. 35; 2θ = 42.45°, d 2.129, rel. 30; 2θ = 42.72°, d 2.117, rel. 37